Calculated PXRD pattern
Compound: Cu3W4O12
Radiation: Cu Ka
Structure: a GGA+U-relaxed structure

Cell and atoms:
```
Cu3W4O12
1.0
-3.8094 3.8094 3.8094
3.8094 -3.8094 3.8094
3.8094 3.8094 -3.8094
Cu W O
3 4 12
Cartesian
3.8094 0.0000 0.0000
0.0000 3.8094 0.0000
0.0000 0.0000 3.8094
1.9047 1.9047 -1.9047
1.9047 -1.9047 1.9047
-1.9047 1.9047 1.9047
1.9047 1.9047 1.9047
3.8094 2.4220 -1.4565
2.3529 0.0000 1.3874
5.2659 0.0000 1.3874
1.3874 2.3529 0.0000
2.4220 -1.4565 3.8094
0.0000 1.3874 2.3529
3.8094 2.4220 1.4565
1.3874 5.2659 0.0000
2.4220 1.4565 3.8094
-1.4565 3.8094 2.4220
1.4565 3.8094 2.4220
0.0000 1.3874 5.2659
```

Largest 8 diffraction maxima, by angle, 2θ = 15–90°:
- 23.35 deg, rel. 47
- 33.26 deg, rel. 100
- 41.04 deg, rel. 9
- 47.75 deg, rel. 23
- 53.81 deg, rel. 22
- 59.43 deg, rel. 46
- 69.84 deg, rel. 13
- 79.58 deg, rel. 18